Diffraction record for CuB3Pt7. The powder X-ray diffraction pattern is simulated, not measured: it uses a cell relaxed with PBE and copper Kα.

Main lines, by intensity (2θ = 5–70°):
34.10°, intensity 100, hkl 2 2 -1; 41.33°, intensity 44, hkl 3 1 0; 43.07°, intensity 37, hkl 2 2 1; 42.41°, intensity 32, hkl 1 3 1; 34.26°, intensity 31, hkl 0 0 2; 33.81°, intensity 28, hkl 1 1 -2; 45.51°, intensity 24, hkl 0 4 0; 38.09°, intensity 21, hkl 1 3 -1; 34.77°, intensity 21, hkl 2 0 -2; 54.64°, intensity 18, hkl 2 2 -3

Crystal structure
Cell: 7.3158 7.9726 5.6241 Å, 90.00 111.45 90.00°
Space group C2/m (No. 12)
One atom of each set of equivalent atoms:
Cu 0.0000 0.0000 0.0000 [2 per cell]
B 0.0000 0.2769 0.5000 [4 per cell]
B 0.0000 0.5000 0.0000 [2 per cell]
Pt 0.0000 0.0000 0.5000 [2 per cell]
Pt 0.1384 0.5000 0.7465 [4 per cell]
Pt 0.1568 0.2874 0.2430 [8 per cell]